Calculated powder X-ray diffraction pattern
Compound: BaFeRuO6
Radiation: λ = 1.5418 Å (Cu Kα)
Structure: a structure optimized by DFT (PBE+U)

Unit cell a=5.296 b=5.296 c=5.680 alpha=90.03 beta=90.03 gamma=119.97
Positions (direct):
Ba (0.000, 0.000, 0.000)
Fe (0.333, 0.667, 0.500)
Ru (0.667, 0.333, 0.500)
O (0.404, 0.390, 0.306)
O (0.405, 0.015, 0.694)
O (0.609, 0.014, 0.306)
O (0.610, 0.596, 0.694)
O (0.985, 0.595, 0.306)
O (0.986, 0.391, 0.694)

The 12 most intense peaks (2θ = 15–90°), by intensity:
d/Å  2theta  intensity
3.569  24.95  100
1.937  46.91  38
2.648  33.85  28
1.658  55.41  21
2.127  42.51  19
1.750  52.27  10
1.529  60.56  9
1.460  63.74  9
1.241  76.78  9
2.840  31.50  8
1.279  74.16  8
1.346  69.87  7